# 1
CaMg6CdO8: theoretical X-ray powder pattern (copper Kα), based on a DFT-relaxed cell (PBE, the Materials Project).

Structure:
Cell: 4.4536 4.4536 8.8926 Å, 90.00 90.00 90.00°
Sites, in units of the cell vectors:
Ca: 0.0000 0.0000 0.0000
Mg: 0.0000 0.5000 0.2508
Mg: 0.0000 0.5000 0.7492
Mg: 0.5000 0.0000 0.2508
Mg: 0.5000 0.0000 0.7492
Mg: 0.5000 0.5000 0.0000
Mg: 0.5000 0.5000 0.5000
Cd: 0.0000 0.0000 0.5000
O: 0.0000 0.0000 0.2484
O: 0.0000 0.0000 0.7516
O: 0.0000 0.5000 0.0000
O: 0.0000 0.5000 0.5000
O: 0.5000 0.0000 0.0000
O: 0.5000 0.0000 0.5000
O: 0.5000 0.5000 0.2502
O: 0.5000 0.5000 0.7498

Peak list (8 most intense, 2θ from 5° to 70°, most intense first)
2θ (°), d/Å, I_rel, index
40.5, 2.226, 100.0, 2 0 0
58.7, 1.574, 58.7, 2 2 0
19.9, 4.451, 36.6, 1 0 0
34.9, 2.570, 33.5, 1 1 2
28.4, 3.147, 30.9, 1 1 0
9.9, 8.893, 24.1, 0 0 1
22.3, 3.982, 16.7, 1 0 1
45.6, 1.991, 16.1, 2 1 0


# 2
Ca5CdN4: theoretical X-ray powder pattern (copper Kα), based on a DFT-relaxed cell (PBE, the Materials Project).

Structure:
Cell: 7.5906 8.1430 5.9220 Å, 90.00 90.00 90.00°
Sites, in units of the cell vectors:
Ca: 0.0033 0.0508 0.2468
Ca: 0.0033 0.4492 0.2468
Ca: 0.2500 0.2500 0.7119
Ca: 0.4967 0.0508 0.2468
Ca: 0.4967 0.4492 0.2468
Ca: 0.5033 0.5508 0.7532
Ca: 0.5033 0.9492 0.7532
Ca: 0.7500 0.7500 0.2881
Ca: 0.9967 0.5508 0.7532
Ca: 0.9967 0.9492 0.7532
Cd: 0.2500 0.7500 0.2854
Cd: 0.7500 0.2500 0.7146
N: 0.0013 0.2500 0.9451
N: 0.2500 0.0038 0.4996
N: 0.2500 0.4962 0.4996
N: 0.4987 0.2500 0.9451
N: 0.5013 0.7500 0.0549
N: 0.7500 0.5038 0.5004
N: 0.7500 0.9962 0.5004
N: 0.9987 0.7500 0.0549

Peak list (8 most intense, 2θ from 5° to 70°, most intense first)
2θ (°), d/Å, I_rel, index
30.0, 2.975, 100.0, 2 1 1
44.7, 2.025, 83.7, 2 2 2
36.4, 2.467, 68.3, 0 3 1
32.2, 2.777, 63.3, 2 2 0
18.5, 4.789, 51.0, 0 1 1
30.2, 2.961, 43.4, 0 0 2
16.0, 5.552, 27.2, 1 1 0
61.7, 1.504, 25.7, 4 3 1


# 3
Ca2CdN2: theoretical X-ray powder pattern (copper Kα), based on a DFT-relaxed cell (PBE, the Materials Project).

Structure:
Cell: 7.0562 7.5255 6.3864 Å, 90.00 91.96 90.00°
Sites, in units of the cell vectors:
Ca: 0.0270 0.1411 0.2486
Ca: 0.0270 0.3589 0.7486
Ca: 0.3569 0.6403 0.9171
Ca: 0.3569 0.8597 0.4171
Ca: 0.6431 0.1403 0.5829
Ca: 0.6431 0.3597 0.0829
Ca: 0.9730 0.6411 0.2514
Ca: 0.9730 0.8589 0.7514
Cd: 0.3186 0.0888 0.9184
Cd: 0.3186 0.4112 0.4184
Cd: 0.6814 0.5888 0.5816
Cd: 0.6814 0.9112 0.0816
N: 0.1873 0.6371 0.5920
N: 0.1873 0.8629 0.0920
N: 0.2664 0.1346 0.5713
N: 0.2664 0.3654 0.0713
N: 0.7336 0.6346 0.9287
N: 0.7336 0.8654 0.4287
N: 0.8127 0.1371 0.9080
N: 0.8127 0.3629 0.4080

Peak list (8 most intense, 2θ from 5° to 70°, most intense first)
2θ (°), d/Å, I_rel, index
30.6, 2.926, 100.0, 1 2 1
37.4, 2.407, 86.9, 2 2 -1
30.3, 2.945, 62.8, 1 0 -2
18.2, 4.868, 49.9, 0 1 1
38.7, 2.327, 45.6, 2 0 2
49.2, 1.852, 42.6, 0 2 3
38.3, 2.351, 33.0, 3 0 0
31.7, 2.821, 24.7, 2 1 1